(1)
Cs3RbIn: simulated XRD peak list (Cu Kα (weighted mean of Kα1 and Kα2)), based on DFT lattice parameters and positions (PBE).
Intensities are scaled so that the largest is 1000.

Atomic structure:
```
Cs3RbIn
1.0
12.8138 0.0000 0.0000
0.0000 5.3237 0.0000
-4.7975 0.0000 12.0966
Cs Rb In
6 2 2
Cartesian
0.6281 1.3309 2.2373
-1.4773 1.3309 9.4485
1.2983 3.9928 6.2888
6.7181 1.3309 5.8078
9.4937 3.9928 2.6480
7.3882 3.9928 9.8593
4.7976 3.9928 1.5393
3.2187 1.3309 10.5573
-1.9734 1.3309 5.5314
9.9898 3.9928 6.5651
```

The 10 most intense peaks (2θ from 10° to 90°), most intense first:
d = 3.969 Å, 2θ = 22.40°, I 1000; d = 4.102 Å, 2θ = 21.66°, I 843; d = 4.080 Å, 2θ = 21.78°, I 828; d = 4.032 Å, 2θ = 22.04°, I 685; d = 4.292 Å, 2θ = 20.69°, I 483; d = 3.418 Å, 2θ = 26.07°, I 471; d = 2.662 Å, 2θ = 33.67°, I 384; d = 2.220 Å, 2θ = 40.63°, I 366; d = 2.309 Å, 2θ = 39.02°, I 363; d = 2.229 Å, 2θ = 40.46°, I 318

***

(2)
CsRbIn4: simulated XRD peak list (Cu Kα (weighted mean of Kα1 and Kα2)), based on DFT lattice parameters and positions (PBE).
Intensities are scaled so that the largest is 1000.

Atomic structure:
```
CsRbIn4
1.0
7.2619 -3.1656 0.0000
7.2619 3.1656 0.0000
-2.3134 0.0000 5.3454
Cs Rb In
1 1 4
Cartesian
0.0000 0.0000 0.0000
10.8124 0.0000 1.5512
2.9451 0.0000 4.4778
7.8919 1.5443 3.4533
5.5129 0.0000 2.4075
7.8919 -1.5443 3.4533
```

The 10 most intense peaks (2θ from 10° to 90°), most intense first:
d = 3.605 Å, 2θ = 24.69°, I 1000; d = 2.912 Å, 2θ = 30.70°, I 505; d = 2.859 Å, 2θ = 31.28°, I 444; d = 5.337 Å, 2θ = 16.61°, I 336; d = 2.040 Å, 2θ = 44.40°, I 332; d = 2.723 Å, 2θ = 32.90°, I 290; d = 2.635 Å, 2θ = 34.03°, I 187; d = 2.627 Å, 2θ = 34.13°, I 187; d = 2.295 Å, 2θ = 39.25°, I 169; d = 1.902 Å, 2θ = 47.83°, I 165

***

(3)
Cs4Rb2InSn2: simulated XRD peak list (Cu Kα (weighted mean of Kα1 and Kα2)), based on DFT lattice parameters and positions (PBE).
Intensities are scaled so that the largest is 1000.

Atomic structure:
```
Cs4Rb2InSn2
1.0
8.3961 -4.4889 0.0000
8.3961 4.4889 0.0000
-2.3965 0.0000 6.7799
Cs Rb In Sn
4 2 1 2
Cartesian
4.2943 2.4194 5.3322
10.1013 2.4194 1.4477
4.2943 -2.4194 5.3322
10.1013 -2.4194 1.4477
5.4620 0.0000 1.7228
8.9336 0.0000 5.0571
-1.1983 0.0000 3.3899
1.0480 0.0000 5.0272
13.3476 0.0000 1.7527
```

The 10 most intense peaks (2θ from 10° to 90°), most intense first:
d = 3.653 Å, 2θ = 24.36°, I 1000; d = 3.166 Å, 2θ = 28.19°, I 437; d = 3.958 Å, 2θ = 22.46°, I 294; d = 3.390 Å, 2θ = 26.29°, I 258; d = 3.144 Å, 2θ = 28.39°, I 224; d = 1.829 Å, 2θ = 49.87°, I 212; d = 1.900 Å, 2θ = 47.87°, I 175; d = 7.810 Å, 2θ = 11.33°, I 167; d = 3.577 Å, 2θ = 24.89°, I 166; d = 2.064 Å, 2θ = 43.86°, I 141

***

(4)
Cs2RbTl6In: simulated XRD peak list (Cu Kα (weighted mean of Kα1 and Kα2)), based on DFT lattice parameters and positions (PBE).
Intensities are scaled so that the largest is 1000.

Atomic structure:
```
Cs2RbTl6In
1.0
-4.5114 4.5638 6.4128
4.5114 -4.5638 6.4128
4.5114 4.5638 -6.4128
Cs Rb Tl In
2 1 6 1
Cartesian
0.0000 0.0000 3.2060
0.0000 0.0000 9.6196
0.0000 4.5638 0.0000
2.4570 2.0734 0.0000
4.5114 0.0000 2.9171
6.5658 2.0734 0.0000
-2.0544 2.4904 6.4128
0.0000 4.5638 3.4957
2.0544 2.4904 6.4128
4.5114 0.0000 0.0000
```

The 10 most intense peaks (2θ from 10° to 90°), most intense first:
d = 3.208 Å, 2θ = 27.81°, I 1000; d = 3.718 Å, 2θ = 23.93°, I 546; d = 3.690 Å, 2θ = 24.12°, I 537; d = 2.268 Å, 2θ = 39.74°, I 478; d = 6.416 Å, 2θ = 13.80°, I 253; d = 1.930 Å, 2θ = 47.10°, I 224; d = 1.434 Å, 2θ = 65.02°, I 179; d = 1.941 Å, 2θ = 46.81°, I 151; d = 7.409 Å, 2θ = 11.95°, I 144; d = 2.282 Å, 2θ = 39.49°, I 121

***

(5)
Cs2InS2: simulated XRD peak list (Cu Kα (weighted mean of Kα1 and Kα2)), based on DFT lattice parameters and positions (PBE).
Intensities are scaled so that the largest is 1000.

Atomic structure:
```
Cs2InS2
1.0
8.0964 0.0000 0.0000
0.0000 8.0964 0.0000
0.0000 0.0000 5.3660
Cs In S
4 2 4
Cartesian
1.2061 2.8421 0.0000
2.8421 6.8903 0.0000
5.2543 1.2061 0.0000
6.8903 5.2543 0.0000
0.0000 0.0000 2.6830
4.0482 4.0482 2.6830
1.4875 5.5357 2.6830
2.5606 1.4875 2.6830
5.5357 6.6088 2.6830
6.6088 2.5606 2.6830
```

The 10 most intense peaks (2θ from 10° to 90°), most intense first:
d = 3.001 Å, 2θ = 29.77°, I 1000; d = 3.915 Å, 2θ = 22.71°, I 635; d = 2.560 Å, 2θ = 35.05°, I 443; d = 1.852 Å, 2θ = 49.19°, I 329; d = 3.621 Å, 2θ = 24.59°, I 314; d = 2.683 Å, 2θ = 33.40°, I 299; d = 1.894 Å, 2θ = 48.04°, I 227; d = 3.232 Å, 2θ = 27.60°, I 221; d = 2.156 Å, 2θ = 41.91°, I 156; d = 1.798 Å, 2θ = 50.78°, I 156

***

(6)
CsIn6S8: simulated XRD peak list (Cu Kα (weighted mean of Kα1 and Kα2)), based on DFT lattice parameters and positions (PBE).
Intensities are scaled so that the largest is 1000.

Atomic structure:
```
CsIn6S8
1.0
5.6887 3.2844 3.7631
-5.6887 3.2844 3.7631
0.0000 -6.5688 3.7631
Cs In S
1 6 8
Cartesian
0.0000 0.0000 0.0000
-0.7563 -2.4505 4.1301
-1.7440 1.8802 4.1301
-2.5003 -0.5703 7.1591
2.5003 0.5703 4.1301
1.7440 -1.8802 7.1591
0.7563 2.4505 7.1591
-3.7762 0.6606 5.2111
-2.4602 -2.9400 6.0781
0.0000 0.0000 3.7129
1.3160 -3.6006 5.2111
-1.3160 3.6006 6.0781
0.0000 0.0000 7.5762
2.4602 2.9400 5.2111
3.7762 -0.6606 6.0781
```

The 10 most intense peaks (2θ from 10° to 90°), most intense first:
d = 3.109 Å, 2θ = 28.72°, I 1000; d = 3.537 Å, 2θ = 25.18°, I 860; d = 1.867 Å, 2θ = 48.78°, I 391; d = 2.150 Å, 2θ = 42.02°, I 382; d = 3.763 Å, 2θ = 23.64°, I 287; d = 2.249 Å, 2θ = 40.09°, I 262; d = 1.837 Å, 2θ = 49.62°, I 200; d = 1.397 Å, 2θ = 67.00°, I 175; d = 1.768 Å, 2θ = 51.69°, I 161; d = 3.712 Å, 2θ = 23.98°, I 132